Theoretical powder diffraction line list of Li4Dy3US8 for Cu Kα, from a crystal structure in Alexandria, relaxed with GGA-PBE.

Top 6 peaks for 2θ = 10–90°, low angle first:
h k l	Position (°2θ)	intensity
0 0 3	14.3	100
0 2 1	26.8	72
0 2 4	32.7	90
2 0 5	35.9	34
2 2 0	46.5	33
2 0 8	47.5	31

Atomic structure:
```
data_Li4Dy3US8
_chemical_formula_sum 'Li12 Dy9 U3 S24'
_cell_length_a 7.8196
_cell_length_b 7.8196
_cell_length_c 18.5630
_cell_angle_alpha 90.00
_cell_angle_beta 90.00
_cell_angle_gamma 120.00
_symmetry_space_group_name_H-M 'R -3 m'
_symmetry_Int_Tables_number 166
_symmetry_space_group_name_Hall '-R 3 2"'
loop_
_atom_site_label
_atom_site_fract_x
_atom_site_fract_y
_atom_site_fract_z
_atom_site_occupancy
Li1 0.0000 0.0000 0.0000 1
Li2 0.0000 0.5000 0.0000 1
Dy1 0.0000 0.5000 0.5000 1
U1 0.0000 0.0000 0.5000 1
S1 0.0000 0.0000 0.2504 1
S2 0.0000 0.5000 0.2508 1
```

Theoretical powder diffraction line list of BeAl2InAu5 for Cu Kα, from a crystal structure in Alexandria, relaxed with GGA-PBE.

Top 6 peaks for 2θ = 10–90°, low angle first:
h k l	Position (°2θ)	intensity
1 0 3	27.9	100
1 2 1	38.3	60
2 0 0	40.2	27
0 2 4	41.5	39
2 2 4	59.2	27
1 2 7	61.2	26

Atomic structure:
```
data_BeAl2InAu5
_chemical_formula_sum 'Be2 Al4 In2 Au10'
_cell_length_a 4.482
_cell_length_b 5.634
_cell_length_c 13.737
_cell_angle_alpha 90.00
_cell_angle_beta 90.00
_cell_angle_gamma 90.00
_symmetry_space_group_name_H-M 'I m m m'
_symmetry_Int_Tables_number 71
_symmetry_space_group_name_Hall '-I 2 2'
loop_
_atom_site_label
_atom_site_fract_x
_atom_site_fract_y
_atom_site_fract_z
_atom_site_occupancy
Be1 0.000 0.000 0.000 1
Al1 0.000 0.500 0.303 1
In1 0.000 0.000 0.500 1
Au1 0.000 0.251 0.144 1
Au2 0.000 0.500 0.500 1
```